[1]
Computed powder diffraction line list
Compound: CuMoO4
Radiation: Cu Kα
Structure: a crystal structure in the Materials Project, relaxed with PBE+U
Kinematic intensities with the Lorentz-polarization factor, no thermal factor.

Top 10 peaks for 2θ from 10° to 90°, most intense first:
index, 2θ (°), I/Imax
0 1 2, 23.46, 100
0 2 -2, 26.14, 83
2 0 -1, 26.65, 41
2 1 0, 32.47, 33
-1 2 2, 29.37, 33
-2 1 1, 26.87, 32
0 1 1, 15.50, 26
2 1 -3, 35.54, 23
-4 1 2, 53.94, 23
1 -2 0, 22.75, 23

Atomic structure:
abc: 6.8112 8.5691 9.9100
angles: 96.31 106.86 100.93
Element x y z (fractional)
1 Cu 0.0329 0.1071 0.2582
2 Cu 0.2517 0.6992 0.9112
3 Cu 0.4530 0.3001 0.5128
4 Cu 0.5470 0.6999 0.4872
5 Cu 0.7483 0.3008 0.0888
6 Cu 0.9671 0.8929 0.7418
7 Mo 0.0023 0.7208 0.3907
8 Mo 0.3045 0.4116 0.1571
9 Mo 0.4949 0.9722 0.7506
10 Mo 0.5051 0.0278 0.2494
11 Mo 0.6955 0.5884 0.8429
12 Mo 0.9977 0.2792 0.6093
13 O 0.0111 0.1014 0.6908
14 O 0.0455 0.2730 0.1332
15 O 0.0964 0.4490 0.7454
16 O 0.1546 0.2919 0.4875
17 O 0.2481 0.8567 0.7745
18 O 0.2536 0.5692 0.0614
19 O 0.2734 0.7273 0.4933
20 O 0.3376 0.1493 0.3171
21 O 0.3434 0.9194 0.0833
22 O 0.4325 0.1144 0.6417
23 O 0.4416 0.4998 0.3418
24 O 0.4611 0.3029 0.0829
25 O 0.5389 0.6971 0.9171
26 O 0.5584 0.5002 0.6582
27 O 0.5675 0.8856 0.3583
28 O 0.6566 0.0806 0.9167
29 O 0.6624 0.8507 0.6829
30 O 0.7266 0.2727 0.5067
31 O 0.7464 0.4308 0.9386
32 O 0.7519 0.1433 0.2255
33 O 0.8454 0.7081 0.5125
34 O 0.9036 0.5510 0.2546
35 O 0.9545 0.7270 0.8668
36 O 0.9889 0.8986 0.3092


[2]
Computed powder diffraction line list
Compound: KMn2P2HO9
Radiation: Cu Kα
Structure: a crystal structure in the Materials Project, relaxed with PBE+U
Kinematic intensities with the Lorentz-polarization factor, no thermal factor.

Top 10 peaks for 2θ from 10° to 90°, most intense first:
index, 2θ (°), I/Imax
1 0 -3, 30.19, 100
1 0 0, 14.35, 87
0 2 2, 33.97, 47
2 0 0, 28.93, 47
0 2 0, 26.28, 42
0 2 1, 28.38, 42
0 0 1, 10.52, 40
2 1 0, 31.87, 35
3 0 0, 44.01, 24
0 1 1, 16.80, 23

Atomic structure:
abc: 6.5669 6.7818 8.9447
angles: 90.00 109.97 90.00
Element x y z (fractional)
1 K 0.0717 0.2500 0.2006
2 K 0.9283 0.7500 0.7994
3 Mn 0.4679 0.7500 0.2906
4 Mn 0.5000 0.0000 0.0000
5 Mn 0.5000 0.5000 0.0000
6 Mn 0.5321 0.2500 0.7094
7 P 0.0980 0.2500 0.8098
8 P 0.4067 0.7500 0.6415
9 P 0.5933 0.2500 0.3585
10 P 0.9020 0.7500 0.1902
11 H 0.0230 0.2500 0.5476
12 H 0.9770 0.7500 0.4524
13 O 0.1458 0.7500 0.2440
14 O 0.1602 0.7500 0.5837
15 O 0.1681 0.2500 0.6559
16 O 0.1901 0.0630 0.9095
17 O 0.1901 0.4370 0.9095
18 O 0.4261 0.7500 0.0668
19 O 0.4818 0.2500 0.4876
20 O 0.4964 0.0656 0.2511
21 O 0.4964 0.4344 0.2511
22 O 0.5036 0.5656 0.7489
23 O 0.5036 0.9344 0.7489
24 O 0.5182 0.7500 0.5124
25 O 0.5739 0.2500 0.9332
26 O 0.8099 0.5630 0.0905
27 O 0.8099 0.9370 0.0905
28 O 0.8319 0.7500 0.3441
29 O 0.8398 0.2500 0.4163
30 O 0.8542 0.2500 0.7560